Starting from a crystal structure in the Materials Project, relaxed with GGA-PBE, the powder XRD pattern of LaF was calculated for copper Kα.
Intensities are scaled so that the largest is 1000.

a b c (Å): 4.3288 4.3288 5.5581
angles (deg): 90.00 90.00 120.00
Space group P6_3/mmc (No. 194)
Unique sites:
La 0.3333 0.6667 0.2500
F 0.3333 0.6667 0.7500

Most intense lines, 10° ≤ 2θ ≤ 80°, sorted by position:
| index | 2theta | I/Imax |
| --- | --- | --- |
| 1 0 0 | 23.73 | 497 |
| 1 0 1 | 28.72 | 1000 |
| 0 0 2 | 32.21 | 300 |
| 1 0 2 | 40.40 | 239 |
| 1 1 0 | 41.73 | 435 |
| 2 0 1 | 51.45 | 207 |
| 1 1 2 | 53.68 | 407 |
| 2 1 1 | 68.32 | 182 |